For Li4Y3MnO8, a crystal structure in Alexandria, relaxed with GGA+U gives the computed PXRD pattern in this record (λ = 1.5418 Å (Cu Kα)).

Cell and atoms:
```
data_Li4Y3MnO8
_symmetry_space_group_name_H-M 'C 2 2 2'
_symmetry_Int_Tables_number 21
_symmetry_space_group_name_Hall 'C 2 2'
_cell_length_a 6.116
_cell_length_b 10.484
_cell_length_c 6.118
_cell_angle_alpha 90.00
_cell_angle_beta 90.00
_cell_angle_gamma 90.00
loop_
_atom_site_label
_atom_site_type_symbol
_atom_site_fract_x
_atom_site_fract_y
_atom_site_fract_z
_atom_site_occupancy
Li1 Li 0.000 0.000 0.000 1
Li2 Li 0.000 0.500 0.500 1
Li3 Li 0.250 0.250 0.243 1
Y1 Y 0.000 0.000 0.500 1
Y2 Y 0.250 0.250 0.757 1
Mn1 Mn 0.000 0.500 0.000 1
O1 O 0.000 0.214 0.500 1
O2 O 0.000 0.279 0.000 1
O3 O 0.235 0.480 0.765 1
```

Top 10 peaks for 10 to 90 degrees two-theta, low angle first:
2θ = 22.2°, I 100; 2θ = 33.0°, I 20; 2θ = 33.9°, I 31; 2θ = 34.2°, I 30; 2θ = 41.8°, I 37; 2θ = 47.8°, I 23; 2θ = 48.2°, I 17; 2θ = 55.1°, I 27; 2θ = 65.7°, I 12; 2θ = 71.4°, I 11